For Li3FeP2O8, DFT lattice parameters and positions (PBE+U) gives the simulated powder diffraction line list in this record (Cu Ka).
Peak positions follow from Bragg's law for the DFT cell and can differ from measured ones.

Atomic structure:
Cell lengths 8.4705, 8.4705, 22.9698 Å; angles 90.00, 90.00, 120.00 degrees
Space group R3 (No. 146, hexagonal axes)
Unique sites:
1 Li 0.0000 0.0000 0.0000 x3
2 Li 0.0000 0.0000 0.1169 x3
3 Li 0.0000 0.0000 0.7050 x3
4 Li 0.0347 0.6925 0.2854 x9
5 Li 0.0469 0.3465 0.7168 x9
6 Fe 0.0000 0.0000 0.3223 x3
7 Fe 0.0000 0.0000 0.5217 x3
8 Fe 0.0000 0.0000 0.8240 x3
9 P 0.0124 0.7144 0.4208 x9
10 P 0.0347 0.3655 0.5876 x9
11 O 0.0149 0.2051 0.8663 x9
12 O 0.0377 0.8249 0.4756 x9
13 O 0.0473 0.8453 0.7566 x9
14 O 0.0857 0.8535 0.0772 x9
15 O 0.0894 0.5742 0.0334 x9
16 O 0.1725 0.4074 0.6381 x9
17 O 0.1774 0.4466 0.2434 x9
18 O 0.1951 0.4435 0.9396 x9

Top 10 peaks for 10 to 90 degrees two-theta, by angle:
2θ = 12.67°, intensity 20.4, (1 0 1); 2θ = 14.33°, intensity 51.0, (0 1 2); 2θ = 19.63°, intensity 41.7, (1 0 4); 2θ = 24.01°, intensity 100.0, (2 -1 3); 2θ = 28.88°, intensity 29.6, (0 2 4); 2θ = 31.50°, intensity 54.4, (2 -1 6); 2θ = 36.75°, intensity 16.3, (3 0 0); 2θ = 38.65°, intensity 18.5, (3 0 3); 2θ = 49.17°, intensity 15.4, (4 -2 6); 2θ = 51.68°, intensity 16.1, (3 -1 10)